1.
Starting from a structure optimized by DFT (GGA-PBE), the powder diffractogram of Li3Zr2PaS6 was simulated for a wavelength of 1.5418 Å.
Lines closer than 0.1° are merged.

Structure:
a b c (Å): 6.3531 6.3531 6.7020
angles (deg): 99.08 99.08 120.01
Fractional coordinates of all 12 atoms:
Li 0.0000 0.0000 0.0000
Li 0.3324 0.6676 0.0000
Li 0.6676 0.3324 0.0000
Zr 0.1665 0.8335 0.5000
Zr 0.8335 0.1665 0.5000
Pa 0.5000 0.5000 0.5000
S 0.0765 0.4154 0.2457
S 0.2460 0.2460 0.7545
S 0.4154 0.0765 0.2457
S 0.5846 0.9235 0.7543
S 0.7540 0.7540 0.2455
S 0.9235 0.5846 0.7543

Main lines, by intensity (15 to 90 degrees two-theta):
2θ (°)	d/Å	Rel. int.
33.91	2.644	100
28.49	3.133	67
47.69	1.907	38
36.82	2.441	35
49.72	1.834	32
51.89	1.762	23
43.77	2.068	21
29.64	3.014	18
61.54	1.507	17
79.85	1.201	16
16.77	5.286	14
58.04	1.589	13

***

2.
Starting from a structure optimized by DFT (GGA-PBE), the powder diffractogram of Ca6Cd32Cu was simulated for a wavelength of 1.5418 Å.
Lines closer than 0.1° are merged.

Structure:
a b c (Å): 9.7175 9.7175 9.7175
angles (deg): 90.00 90.00 90.00
Fractional coordinates of all 39 atoms:
Ca 0.0000 0.2948 0.5000
Ca 0.0000 0.7052 0.5000
Ca 0.2948 0.5000 0.0000
Ca 0.5000 0.0000 0.2948
Ca 0.5000 0.0000 0.7052
Ca 0.7052 0.5000 0.0000
Cd 0.0000 0.0000 0.2414
Cd 0.0000 0.0000 0.7586
Cd 0.0000 0.2414 0.0000
Cd 0.0000 0.5000 0.1758
Cd 0.0000 0.5000 0.8242
Cd 0.0000 0.7586 0.0000
Cd 0.1758 0.0000 0.5000
Cd 0.2186 0.2186 0.2186
Cd 0.2186 0.2186 0.7814
Cd 0.2186 0.7814 0.2186
Cd 0.2186 0.7814 0.7814
Cd 0.2405 0.5000 0.3498
Cd 0.2405 0.5000 0.6502
Cd 0.2414 0.0000 0.0000
Cd 0.3498 0.2405 0.5000
Cd 0.3498 0.7595 0.5000
Cd 0.5000 0.1758 0.0000
Cd 0.5000 0.3498 0.2405
Cd 0.5000 0.3498 0.7595
Cd 0.5000 0.6502 0.2405
Cd 0.5000 0.6502 0.7595
Cd 0.5000 0.8242 0.0000
Cd 0.6502 0.2405 0.5000
Cd 0.6502 0.7595 0.5000
Cd 0.7586 0.0000 0.0000
Cd 0.7595 0.5000 0.3498
Cd 0.7595 0.5000 0.6502
Cd 0.7814 0.2186 0.2186
Cd 0.7814 0.2186 0.7814
Cd 0.7814 0.7814 0.2186
Cd 0.7814 0.7814 0.7814
Cd 0.8242 0.0000 0.5000
Cu 0.5000 0.5000 0.5000

Main lines, by intensity (15 to 90 degrees two-theta):
2θ (°)	d/Å	Rel. int.
38.19	2.357	100
34.54	2.597	52
37.00	2.429	50
31.90	2.805	37
58.56	1.576	20
20.44	4.346	20
41.56	2.173	18
67.47	1.388	18
33.24	2.695	18
61.06	1.518	16
39.34	2.290	12
42.64	2.121	11

***

3.
Starting from a structure optimized by DFT (GGA-PBE), the powder diffractogram of ErCd4Pd15 was simulated for a wavelength of 1.5418 Å.
Lines closer than 0.1° are merged.

Structure:
a b c (Å): 4.0509 4.0509 20.1801
angles (deg): 90.00 90.00 90.00
Fractional coordinates of all 20 atoms:
Er 0.0000 0.0000 0.0000
Cd 0.0000 0.0000 0.2032
Cd 0.0000 0.0000 0.4009
Cd 0.0000 0.0000 0.5991
Cd 0.0000 0.0000 0.7968
Pd 0.0000 0.5000 0.1028
Pd 0.0000 0.5000 0.3023
Pd 0.0000 0.5000 0.5000
Pd 0.0000 0.5000 0.6977
Pd 0.0000 0.5000 0.8972
Pd 0.5000 0.0000 0.1028
Pd 0.5000 0.0000 0.3023
Pd 0.5000 0.0000 0.5000
Pd 0.5000 0.0000 0.6977
Pd 0.5000 0.0000 0.8972
Pd 0.5000 0.5000 0.0000
Pd 0.5000 0.5000 0.2023
Pd 0.5000 0.5000 0.4015
Pd 0.5000 0.5000 0.5985
Pd 0.5000 0.5000 0.7977

Main lines, by intensity (15 to 90 degrees two-theta):
2θ (°)	d/Å	Rel. int.
38.54	2.336	100
44.74	2.025	33
78.31	1.221	24
65.27	1.430	20
44.92	2.018	16
78.56	1.218	12
82.61	1.168	10
65.13	1.432	10

***

4.
Starting from a structure optimized by DFT (GGA-PBE), the powder diffractogram of SrAc8Nd6 was simulated for a wavelength of 1.5418 Å.
Lines closer than 0.1° are merged.

Structure:
a b c (Å): 9.3158 9.3158 9.3158
angles (deg): 67.16 67.16 67.16
Fractional coordinates of all 15 atoms:
Sr 0.0000 0.0000 0.0000
Ac 0.1367 0.8158 0.4206
Ac 0.1842 0.5794 0.8633
Ac 0.2623 0.2623 0.2623
Ac 0.4206 0.1367 0.8158
Ac 0.5794 0.8633 0.1842
Ac 0.7377 0.7377 0.7377
Ac 0.8158 0.4206 0.1367
Ac 0.8633 0.1842 0.5794
Nd 0.0724 0.3777 0.6663
Nd 0.3337 0.9276 0.6223
Nd 0.3777 0.6663 0.0724
Nd 0.6223 0.3337 0.9276
Nd 0.6663 0.0724 0.3777
Nd 0.9276 0.6223 0.3337

Main lines, by intensity (15 to 90 degrees two-theta):
2θ (°)	d/Å	Rel. int.
30.38	2.942	100
30.04	2.975	89
43.25	2.092	29
53.55	1.711	24
27.72	3.219	22
25.95	3.434	20
53.35	1.717	19
60.28	1.535	18
54.18	1.693	18
17.21	5.153	15
31.31	2.857	15
47.53	1.913	14